No. 1
This entry pairs a crystal structure of Ac2MgZnAg6 with its simulated X-ray diffraction stick pattern. Radiation: Cu Ka. Structure: a DFT-relaxed cell (GGA-PBE, Alexandria).
Neutral-atom scattering factors, no anomalous dispersion.

Cell: 7.123 7.123 7.123 Å, 119.98 119.88 90.12°
Fractional coordinates of all 10 atoms:
Ac: 0.250 0.250 0.000
Ac: 0.750 0.750 0.000
Mg: 0.500 0.000 0.500
Zn: 0.000 0.500 0.500
Ag: 0.246 0.254 0.500
Ag: 0.246 0.746 0.500
Ag: 0.246 0.746 0.992
Ag: 0.754 0.254 0.008
Ag: 0.754 0.254 0.500
Ag: 0.754 0.746 0.500

Main lines, low angle first (15 to 90 degrees two-theta):
Position (°2θ)	I_rel
25.0	23
30.7	100
35.6	72
51.2	17
51.3	33
61.0	27
61.1	14
64.0	17
83.7	14
86.3	11

No. 2
This entry pairs a crystal structure of Ba3TbAl2O8 with its simulated X-ray diffraction stick pattern. Radiation: Cu Ka. Structure: a DFT-relaxed cell (GGA-PBE, Alexandria).
Neutral-atom scattering factors, no anomalous dispersion.

Cell: 5.957 5.957 7.596 Å, 90.00 90.00 120.00°
Fractional coordinates of all 14 atoms:
Ba: 0.000 0.000 0.000
Ba: 0.333 0.667 0.667
Ba: 0.667 0.333 0.333
Tb: 0.000 0.000 0.500
Al: 0.333 0.667 0.228
Al: 0.667 0.333 0.772
O: 0.174 0.347 0.317
O: 0.174 0.826 0.317
O: 0.333 0.667 0.998
O: 0.347 0.174 0.683
O: 0.653 0.826 0.317
O: 0.667 0.333 0.002
O: 0.826 0.174 0.683
O: 0.826 0.653 0.683

Main lines, low angle first (15 to 90 degrees two-theta):
Position (°2θ)	I_rel
20.8	19
29.2	93
30.0	100
36.8	17
42.4	48
51.3	17
52.8	36
53.3	20
62.3	17
70.3	16

No. 3
This entry pairs a crystal structure of Pr2Bi2Rh3 with its simulated X-ray diffraction stick pattern. Radiation: Cu Ka. Structure: a DFT-relaxed cell (GGA-PBE, Alexandria).
Neutral-atom scattering factors, no anomalous dispersion.

Cell: 7.633 7.633 7.633 Å, 109.47 109.47 109.47°
Fractional coordinates of all 14 atoms:
Pr: 0.000 0.020 0.500
Pr: 0.020 0.500 0.000
Pr: 0.480 0.480 0.480
Pr: 0.500 0.000 0.020
Bi: 0.000 0.594 0.500
Bi: 0.500 0.000 0.594
Bi: 0.594 0.500 0.000
Bi: 0.906 0.906 0.906
Rh: 0.019 0.250 0.269
Rh: 0.231 0.481 0.750
Rh: 0.250 0.269 0.019
Rh: 0.269 0.019 0.250
Rh: 0.481 0.750 0.231
Rh: 0.750 0.231 0.481

Main lines, low angle first (15 to 90 degrees two-theta):
Position (°2θ)	I_rel
28.6	100
32.1	55
35.3	23
38.2	77
41.0	50
48.4	31
53.0	28
57.3	22
59.3	23
70.9	27